MnVSiB: computed powder diffraction line list (Cu Kα, 1.54184 Å), based on a structure optimized by DFT (GGA-PBE).
Lines closer than 0.1° are merged.

Peak list (12 most intense, 2θ from 5° to 70°, by angle)
2θ (°)	I (rel.)
16.28	8
32.89	13
34.05	64
35.40	15
40.39	80
43.81	100
50.26	15
52.07	15
56.78	7
60.07	46
67.20	13
68.98	2

Atomic structure:
a b c (Å): 5.729 5.729 5.729
angles (deg): 31.19 31.19 31.19
Atoms (fractional coordinates):
1 Mn 0.000 0.000 0.000
2 V 0.200 0.200 0.200
3 Si 0.760 0.760 0.760
4 B 0.607 0.607 0.607